Diffraction record for Ca2SmCd. The XRD peak list is computed, not measured: it uses DFT lattice parameters and positions (PBE) and Cu Ka.
Neutral-atom scattering factors, no anomalous dispersion.

```
data_Ca2SmCd
_cell_length_a 3.7638
_cell_length_b 3.6487
_cell_length_c 20.2755
_cell_angle_alpha 90.00
_cell_angle_beta 90.00
_cell_angle_gamma 90.00
_symmetry_space_group_name_H-M 'A m m 2'
_symmetry_Int_Tables_number 38
loop_
_symmetry_equiv_pos_as_xyz
'x,y,z'
'-x,-y,z'
'-x,y,z'
'x,-y,z'
'x,y+1/2,z+1/2'
'-x,-y+1/2,z+1/2'
'-x,y+1/2,z+1/2'
'x,-y+1/2,z+1/2'
loop_
_atom_site_label
_atom_site_type_symbol
_atom_site_fract_x
_atom_site_fract_y
_atom_site_fract_z
Ca1 Ca 0.0000 0.0000 0.0000
Ca2 Ca 0.5000 0.0000 0.3530
Sm1 Sm 0.5000 0.0000 0.1592
Cd1 Cd 0.0000 0.0000 0.7540
```

Peak list (10 most intense, 10° ≤ 2θ ≤ 80°, most intense first)
2θ (°), I_rel, hkl
34.52, 100, 1 1 1
29.56, 95, 1 0 4
33.02, 75, 0 1 5
35.71, 37, 1 0 6
27.79, 33, 0 1 3
36.79, 29, 1 1 3
53.66, 29, 1 1 9
59.81, 26, 2 1 5
39.73, 25, 0 1 7
59.16, 25, 1 2 4